1.
The following is a theoretical X-ray diffraction stick pattern of Bi2TeSe2. It was derived from DFT lattice parameters and positions (PBE), using Cu Kα.
Intensities are scaled so that the largest is 100.

The 12 most intense peaks (15 to 90 degrees two-theta), low angle first:
d [Å], 2θ/deg, Rel. int.
5.283, 16.78, 18
3.679, 24.19, 10
3.198, 27.90, 100
2.408, 37.34, 38
2.274, 39.63, 11
2.139, 42.26, 36
1.982, 45.77, 9
1.778, 51.40, 19
1.599, 57.65, 11
1.503, 61.71, 13
1.367, 68.66, 16
1.281, 74.02, 11

Cell and atoms:
```
data_Bi2TeSe2
_cell_length_a 4.277
_cell_length_b 4.277
_cell_length_c 31.696
_cell_angle_alpha 90.00
_cell_angle_beta 90.00
_cell_angle_gamma 120.00
_space_group_name_H-M_alt 'P 1'
_space_group_IT_number 1
loop_
_space_group_symop_operation_xyz
'x,y,z'
loop_
_atom_site_label
_atom_site_type_symbol
_atom_site_fract_x
_atom_site_fract_y
_atom_site_fract_z
Bi1 Bi 0.000 0.000 0.099
Bi2 Bi 0.000 0.000 0.901
Bi3 Bi 0.333 0.667 0.567
Bi4 Bi 0.333 0.667 0.766
Bi5 Bi 0.667 0.333 0.234
Bi6 Bi 0.667 0.333 0.433
Te1 Te 0.000 0.000 0.500
Te2 Te 0.333 0.667 0.167
Te3 Te 0.667 0.333 0.833
Se1 Se 0.000 0.000 0.282
Se2 Se 0.000 0.000 0.718
Se3 Se 0.333 0.667 0.385
Se4 Se 0.333 0.667 0.948
Se5 Se 0.667 0.333 0.052
Se6 Se 0.667 0.333 0.615
```



2.
The following is a theoretical X-ray diffraction stick pattern of Rb2PdAuF6. It was derived from DFT lattice parameters and positions (PBE), using Cu Kα.
Intensities are scaled so that the largest is 100.

The 12 most intense peaks (15 to 90 degrees two-theta), low angle first:
d [Å], 2θ/deg, Rel. int.
5.133, 17.28, 6
4.445, 19.97, 18
3.143, 28.39, 100
2.681, 33.43, 6
2.223, 40.59, 35
1.988, 45.63, 8
1.815, 50.27, 42
1.572, 58.75, 22
1.482, 62.70, 4
1.406, 66.51, 19
1.283, 73.84, 7
1.188, 80.91, 22

Cell and atoms:
```
data_Rb2PdAuF6
_cell_length_a 6.287
_cell_length_b 6.287
_cell_length_c 6.287
_cell_angle_alpha 60.00
_cell_angle_beta 60.00
_cell_angle_gamma 60.00
_space_group_name_H-M_alt 'P 1'
_space_group_IT_number 1
loop_
_space_group_symop_operation_xyz
'x,y,z'
loop_
_atom_site_label
_atom_site_type_symbol
_atom_site_fract_x
_atom_site_fract_y
_atom_site_fract_z
Rb1 Rb 0.250 0.250 0.250
Rb2 Rb 0.750 0.750 0.750
Pd1 Pd 0.000 0.000 0.000
Au1 Au 0.500 0.500 0.500
F1 F 0.238 0.238 0.762
F2 F 0.238 0.762 0.238
F3 F 0.238 0.762 0.762
F4 F 0.762 0.238 0.238
F5 F 0.762 0.238 0.762
F6 F 0.762 0.762 0.238
```



3.
The following is a theoretical X-ray diffraction stick pattern of Sc2AgPt. It was derived from DFT lattice parameters and positions (PBE), using Cu Kα.
Intensities are scaled so that the largest is 100.

The 12 most intense peaks (15 to 90 degrees two-theta), low angle first:
d [Å], 2θ/deg, Rel. int.
3.881, 22.91, 9
3.361, 26.52, 37
2.377, 37.85, 100
2.027, 44.71, 5
1.941, 46.81, 11
1.681, 54.61, 17
1.542, 59.98, 2
1.503, 61.71, 15
1.372, 68.36, 34
1.188, 80.89, 10
1.136, 85.44, 2
1.120, 86.95, 8

Cell and atoms:
```
data_Sc2AgPt
_cell_length_a 6.723
_cell_length_b 6.723
_cell_length_c 6.723
_cell_angle_alpha 90.00
_cell_angle_beta 90.00
_cell_angle_gamma 90.00
_space_group_name_H-M_alt 'P 1'
_space_group_IT_number 1
loop_
_space_group_symop_operation_xyz
'x,y,z'
loop_
_atom_site_label
_atom_site_type_symbol
_atom_site_fract_x
_atom_site_fract_y
_atom_site_fract_z
Sc1 Sc 0.250 0.250 0.250
Sc2 Sc 0.250 0.250 0.750
Sc3 Sc 0.250 0.750 0.250
Sc4 Sc 0.250 0.750 0.750
Sc5 Sc 0.750 0.250 0.250
Sc6 Sc 0.750 0.250 0.750
Sc7 Sc 0.750 0.750 0.250
Sc8 Sc 0.750 0.750 0.750
Ag1 Ag 0.000 0.000 0.000
Ag2 Ag 0.000 0.500 0.500
Ag3 Ag 0.500 0.000 0.500
Ag4 Ag 0.500 0.500 0.000
Pt1 Pt 0.000 0.000 0.500
Pt2 Pt 0.000 0.500 0.000
Pt3 Pt 0.500 0.000 0.000
Pt4 Pt 0.500 0.500 0.500
```



4.
The following is a theoretical X-ray diffraction stick pattern of MgSi2. It was derived from DFT lattice parameters and positions (PBE), using Cu Kα.
Intensities are scaled so that the largest is 100.

The 12 most intense peaks (15 to 90 degrees two-theta), low angle first:
d [Å], 2θ/deg, Rel. int.
3.561, 25.01, 20
2.945, 30.35, 31
2.675, 33.50, 38
2.663, 33.65, 100
2.558, 35.08, 20
2.451, 36.67, 20
2.344, 38.40, 20
2.308, 39.03, 31
2.029, 44.66, 24
1.999, 45.38, 25
1.867, 48.78, 24
1.782, 51.27, 20

Cell and atoms:
```
data_MgSi2
_cell_length_a 5.249
_cell_length_b 5.682
_cell_length_c 8.871
_cell_angle_alpha 92.87
_cell_angle_beta 103.11
_cell_angle_gamma 116.66
_space_group_name_H-M_alt 'P 1'
_space_group_IT_number 1
loop_
_space_group_symop_operation_xyz
'x,y,z'
loop_
_atom_site_label
_atom_site_type_symbol
_atom_site_fract_x
_atom_site_fract_y
_atom_site_fract_z
Mg1 Mg 0.000 0.000 0.000
Mg2 Mg 0.004 0.351 0.454
Mg3 Mg 0.469 0.430 0.787
Mg4 Mg 0.700 0.761 0.497
Si1 Si 0.033 0.669 0.763
Si2 Si 0.128 0.894 0.341
Si3 Si 0.166 0.556 0.178
Si4 Si 0.350 0.913 0.610
Si5 Si 0.421 0.796 0.001
Si6 Si 0.448 0.315 0.285
Si7 Si 0.639 0.277 0.065
Si8 Si 0.866 0.190 0.734
```